This entry pairs a crystal structure of Er4PuSi4 with its computed powder diffractogram. Radiation: Cu Kα X-rays. Structure: DFT lattice parameters and positions (PBE).

Peak list (8 most intense, 10° ≤ 2θ ≤ 90°, low angle first)
| d/Å | I (rel.) | index |
| --- | --- | --- |
| 4.792 | 17 | 1 0 1 |
| 3.260 | 100 | 2 1 1 |
| 2.814 | 80 | 1 3 0 |
| 2.753 | 16 | 2 2 1 |
| 2.709 | 35 | 1 0 2 |
| 2.522 | 17 | 3 1 1 |
| 1.990 | 26 | 4 2 0 |
| 1.698 | 28 | 5 0 1 |

```
data_Er4PuSi4
_symmetry_space_group_name_H-M 'P 42/n'
_symmetry_Int_Tables_number 86
_cell_length_a 8.8978
_cell_length_b 8.8978
_cell_length_c 5.6874
_cell_angle_alpha 90.00
_cell_angle_beta 90.00
_cell_angle_gamma 90.00
loop_
_symmetry_equiv_pos_as_xyz
'x,y,z'
'-x,-y,-z'
'-y,x+1/2,z+1/2'
'y,-x+1/2,-z+1/2'
'-x+1/2,-y+1/2,z'
'x+1/2,y+1/2,-z'
'y+1/2,-x,z+1/2'
'-y+1/2,x,-z+1/2'
loop_
_atom_site_label
_atom_site_fract_x
_atom_site_fract_y
_atom_site_fract_z
Er1 0.0731 0.6598 0.1248
Pu1 0.2500 0.2500 0.2500
Si1 0.0232 0.6141 0.6219
```